# 1
This entry pairs a crystal structure of H12PdI8N4 with its theoretical X-ray diffraction stick pattern. Radiation: CuKα. Structure: the PBE geometry in OQMD.
Kinematic intensities with the Lorentz-polarization factor, no thermal factor.

Cell and atoms:
Lattice parameters (Å, degrees): 9.513 8.418 13.014 90.00 103.01 90.00
Element x y z (fractional)
H 0.040 0.032 0.322
H 0.040 0.468 0.322
H 0.057 0.018 0.797
H 0.057 0.482 0.797
H 0.073 0.116 0.215
H 0.073 0.384 0.215
H 0.255 0.013 0.672
H 0.255 0.487 0.672
H 0.338 0.516 0.798
H 0.338 0.984 0.798
H 0.393 0.611 0.702
H 0.393 0.889 0.702
H 0.607 0.111 0.298
H 0.607 0.389 0.298
H 0.662 0.016 0.202
H 0.662 0.484 0.202
H 0.745 0.513 0.328
H 0.745 0.987 0.328
H 0.927 0.616 0.785
H 0.927 0.884 0.785
H 0.943 0.518 0.203
H 0.943 0.982 0.203
H 0.960 0.532 0.678
H 0.960 0.968 0.678
Pd 0.157 0.750 0.739
Pd 0.843 0.250 0.261
I 0.090 0.250 0.544
I 0.108 0.750 0.055
I 0.199 0.750 0.410
I 0.210 0.250 0.906
I 0.311 0.250 0.164
I 0.393 0.250 0.389
I 0.394 0.750 0.030
I 0.486 0.750 0.361
I 0.514 0.250 0.639
I 0.606 0.250 0.970
I 0.607 0.750 0.611
I 0.689 0.750 0.836
I 0.790 0.750 0.094
I 0.801 0.250 0.590
I 0.892 0.250 0.945
I 0.910 0.750 0.456
N 0.009 0.576 0.751
N 0.009 0.924 0.751
N 0.303 0.572 0.726
N 0.303 0.928 0.726
N 0.697 0.072 0.274
N 0.697 0.428 0.274
N 0.991 0.076 0.249
N 0.991 0.424 0.249

Principal peaks in the range 5 to 70 degrees two-theta, by angle:
2θ (°), intensity
18.8, 17
21.1, 100
23.6, 54
25.1, 13
27.2, 32
28.4, 16
29.6, 17
30.1, 52
33.0, 11
33.6, 16
38.5, 16
43.0, 32

# 2
This entry pairs a crystal structure of NaZrAg3Te4 with its theoretical X-ray diffraction stick pattern. Radiation: CuKα. Structure: the PBE geometry in OQMD.
Kinematic intensities with the Lorentz-polarization factor, no thermal factor.

Cell and atoms:
Lattice parameters (Å, degrees): 6.663 6.663 6.663 90.00 90.00 90.00
Element x y z (fractional)
Na 0.000 0.000 0.000
Zr 0.500 0.500 0.500
Ag 0.000 0.500 0.500
Ag 0.500 0.000 0.500
Ag 0.500 0.500 0.000
Te 0.260 0.260 0.260
Te 0.260 0.740 0.740
Te 0.740 0.260 0.740
Te 0.740 0.740 0.260

Principal peaks in the range 5 to 70 degrees two-theta, by angle:
2θ (°), intensity
13.3, 35
23.1, 88
30.0, 10
38.2, 100
40.6, 9
45.1, 43
49.3, 8
55.1, 16
57.0, 4
60.6, 17
64.0, 2
69.1, 32

# 3
This entry pairs a crystal structure of Mg3Sc3PdPt2 with its theoretical X-ray diffraction stick pattern. Radiation: CuKα. Structure: the PBE geometry in OQMD.
Kinematic intensities with the Lorentz-polarization factor, no thermal factor.

Cell and atoms:
Lattice parameters (Å, degrees): 7.267 7.267 3.772 90.00 90.00 120.00
Element x y z (fractional)
Mg 0.000 0.254 0.000
Mg 0.254 0.000 0.000
Mg 0.746 0.746 0.000
Sc 0.000 0.586 0.500
Sc 0.414 0.414 0.500
Sc 0.586 0.000 0.500
Pd 0.000 0.000 0.500
Pt 0.333 0.667 0.000
Pt 0.667 0.333 0.000

Principal peaks in the range 5 to 70 degrees two-theta, by angle:
2θ (°), intensity
14.1, 17
24.5, 100
27.6, 53
34.3, 57
37.2, 69
43.1, 44
45.1, 46
50.2, 20
54.8, 23
66.7, 24
68.3, 17
69.7, 20

# 4
This entry pairs a crystal structure of FeP2Ir2 with its theoretical X-ray diffraction stick pattern. Radiation: CuKα. Structure: the PBE geometry in OQMD.
Kinematic intensities with the Lorentz-polarization factor, no thermal factor.

Cell and atoms:
Lattice parameters (Å, degrees): 3.828 3.828 10.162 90.00 90.00 90.00
Element x y z (fractional)
Fe 0.250 0.250 0.213
Fe 0.750 0.750 0.787
P 0.250 0.250 0.859
P 0.250 0.750 0.500
P 0.750 0.250 0.500
P 0.750 0.750 0.141
Ir 0.250 0.250 0.634
Ir 0.250 0.750 0.000
Ir 0.750 0.250 0.000
Ir 0.750 0.750 0.366

Principal peaks in the range 5 to 70 degrees two-theta, by angle:
2θ (°), intensity
8.7, 35
17.5, 37
24.9, 37
26.3, 42
29.2, 74
34.3, 91
35.4, 38
37.7, 100
47.5, 71
49.2, 83
55.1, 24
56.7, 24